The following is a computed powder X-ray diffraction pattern of Na2MnF4. It was derived from a GGA+U-relaxed structure, using λ = 1.5418 Å (Cu Kα).
No peak broadening, texture or thermal motion is included.

Top 12 peaks for 2θ = 10–90°, in order of rising 2θ:
2θ/deg	Rel. int.
17.20	48.9
17.95	85.2
29.85	31.6
31.16	100.0
36.29	56.3
38.01	66.8
47.15	25.4
48.38	33.3
48.77	49.7
50.58	39.1
54.95	44.6
55.59	29.0

Atomic structure:
Cell: 5.9707 5.9707 5.8167 Å, 116.42 116.42 32.15°
Element x y z (fractional)
Na 0.1958 0.1958 0.1832
Na 0.8042 0.8042 0.8168
Mn 0.5000 0.5000 0.5000
F 0.1283 0.1283 0.4950
F 0.3829 0.3829 0.1030
F 0.6171 0.6171 0.8970
F 0.8717 0.8717 0.5050